For NdZn2PdAu5, a structure optimized by DFT (GGA-PBE) gives the calculated X-ray diffraction stick pattern in this record (Cu Ka).
Peak positions follow from Bragg's law for the DFT cell and can differ from measured ones.

Structure:
abc: 4.9238 4.9238 7.3690
angles: 90.00 90.00 90.00
Sites, in units of the cell vectors:
Nd 0.0000 0.0000 0.0000
Zn 0.5000 0.5000 0.3420
Zn 0.5000 0.5000 0.6580
Pd 0.0000 0.0000 0.5000
Au 0.0000 0.5000 0.2756
Au 0.0000 0.5000 0.7244
Au 0.5000 0.0000 0.2756
Au 0.5000 0.0000 0.7244
Au 0.5000 0.5000 0.0000

Peak list (6 most intense, 2θ = 10–80°, in order of rising 2θ)
2θ (°)	I/Imax
28.4	11
35.5	100
36.5	78
52.6	38
63.0	15
65.0	35

For RbZrF5, a structure optimized by DFT (GGA-PBE) gives the calculated X-ray diffraction stick pattern in this record (Cu Ka).
Peak positions follow from Bragg's law for the DFT cell and can differ from measured ones.

Structure:
abc: 7.9232 9.5236 4.2537
angles: 90.00 90.00 90.00
Sites, in units of the cell vectors:
Rb 0.0000 0.0000 0.0000
Rb 0.5000 0.5000 0.5000
Zr 0.0000 0.5000 0.9995
Zr 0.5000 0.0000 0.4995
F 0.0000 0.2898 0.9986
F 0.0000 0.5000 0.4994
F 0.0000 0.7102 0.9986
F 0.2444 0.0000 0.4998
F 0.2556 0.5000 0.9998
F 0.5000 0.0000 0.9994
F 0.5000 0.2102 0.4986
F 0.5000 0.7898 0.4986
F 0.7444 0.5000 0.9998
F 0.7556 0.0000 0.4998

Peak list (6 most intense, 2θ = 10–80°, in order of rising 2θ)
2θ (°)	I/Imax
18.6	96
22.4	58
23.7	100
30.4	40
40.2	25
45.1	29

For Tb5HoRu6, a structure optimized by DFT (GGA-PBE) gives the calculated X-ray diffraction stick pattern in this record (Cu Ka).
Peak positions follow from Bragg's law for the DFT cell and can differ from measured ones.

Structure:
abc: 8.3289 8.3289 4.8328
angles: 106.81 106.81 119.94
Sites, in units of the cell vectors:
Tb 0.0000 0.0000 0.0000
Tb 0.1667 0.8333 0.5000
Tb 0.3339 0.6661 0.0000
Tb 0.6661 0.3339 0.0000
Tb 0.8333 0.1667 0.5000
Ho 0.5000 0.5000 0.5000
Ru 0.0840 0.4166 0.2503
Ru 0.2509 0.2509 0.7509
Ru 0.4166 0.0840 0.2503
Ru 0.5834 0.9160 0.7497
Ru 0.7491 0.7491 0.2491
Ru 0.9160 0.5834 0.7497

Peak list (6 most intense, 2θ = 10–80°, in order of rising 2θ)
2θ (°)	I/Imax
37.2	20
37.4	100
53.8	14
67.1	7
67.2	11
67.4	24

For In3Au5, a structure optimized by DFT (GGA-PBE) gives the calculated X-ray diffraction stick pattern in this record (Cu Ka).
Peak positions follow from Bragg's law for the DFT cell and can differ from measured ones.

Structure:
abc: 5.5929 5.5929 10.8370
angles: 90.00 90.00 85.62
Sites, in units of the cell vectors:
In 0.2135 0.7865 0.7500
In 0.3039 0.3039 0.0000
In 0.3039 0.3039 0.5000
In 0.6961 0.6961 0.0000
In 0.6961 0.6961 0.5000
In 0.7865 0.2135 0.2500
Au 0.0942 0.2923 0.7500
Au 0.1898 0.8102 0.0235
Au 0.1898 0.8102 0.4765
Au 0.2923 0.0942 0.2500
Au 0.4147 0.5853 0.2500
Au 0.5853 0.4147 0.7500
Au 0.7077 0.9058 0.7500
Au 0.8102 0.1898 0.5235
Au 0.8102 0.1898 0.9765
Au 0.9058 0.7077 0.2500

Peak list (6 most intense, 2θ = 10–80°, in order of rising 2θ)
2θ (°)	I/Imax
32.1	44
33.1	100
33.2	54
37.1	27
38.7	94
40.9	69

For Li4NpS5, a structure optimized by DFT (GGA-PBE) gives the calculated X-ray diffraction stick pattern in this record (Cu Ka).
Peak positions follow from Bragg's law for the DFT cell and can differ from measured ones.

Structure:
abc: 6.4336 6.4336 6.4336
angles: 99.71 99.71 131.52
Sites, in units of the cell vectors:
Li 0.1115 0.2988 0.4103
Li 0.2988 0.8885 0.1872
Li 0.7012 0.1115 0.8128
Li 0.8885 0.7012 0.5897
Np 0.5000 0.5000 0.0000
S 0.0000 0.0000 0.0000
S 0.2118 0.5885 0.8003
S 0.4115 0.2118 0.6234
S 0.5885 0.7882 0.3766
S 0.7882 0.4115 0.1997

Peak list (6 most intense, 2θ = 10–80°, in order of rising 2θ)
2θ (°)	I/Imax
15.1	92
19.9	100
21.4	40
29.4	36
34.2	52
48.9	37

For Pr2Be3Au9, a structure optimized by DFT (GGA-PBE) gives the calculated X-ray diffraction stick pattern in this record (Cu Ka).
Peak positions follow from Bragg's law for the DFT cell and can differ from measured ones.

Structure:
abc: 7.8788 7.8788 10.6528
angles: 111.80 111.80 59.21
Sites, in units of the cell vectors:
Pr 0.0890 0.2540 0.2486
Pr 0.2540 0.0890 0.7486
Pr 0.7460 0.9110 0.2514
Pr 0.9110 0.7460 0.7514
Be 0.0000 0.5000 0.0000
Be 0.1410 0.6792 0.5037
Be 0.3208 0.8590 0.9963
Be 0.5000 0.0000 0.5000
Be 0.6792 0.1410 0.0037
Be 0.8590 0.3208 0.4963
Au 0.0114 0.8638 0.0707
Au 0.1362 0.9886 0.4293
Au 0.1950 0.3561 0.5652
Au 0.1988 0.5853 0.2617
Au 0.3068 0.4912 0.9470
Au 0.3484 0.6516 0.7500
Au 0.3561 0.1950 0.0652
Au 0.4147 0.8012 0.2383
Au 0.4912 0.3068 0.4470
Au 0.5088 0.6932 0.5530
Au 0.5853 0.1988 0.7617
Au 0.6439 0.8050 0.9348
Au 0.6516 0.3484 0.2500
Au 0.6932 0.5088 0.0530
Au 0.8012 0.4147 0.7383
Au 0.8050 0.6439 0.4348
Au 0.8638 0.0114 0.5707
Au 0.9886 0.1362 0.9293

Peak list (6 most intense, 2θ = 10–80°, in order of rising 2θ)
2θ (°)	I/Imax
29.3	41
35.3	24
36.1	100
36.3	51
39.5	28
40.0	57